Entry 1:
Theoretical powder XRD pattern
Compound: CdInPb4
Radiation: Cu Kα
Structure: a PBE-relaxed structure
Peak positions follow from Bragg's law for the DFT cell and can differ from measured ones.

```
data_CdInPb4
_chemical_formula_sum 'Cd4 In4 Pb16'
_space_group_name_H-M_alt 'C m c 21'
_space_group_IT_number 36
_cell_length_a 4.8634
_cell_length_b 14.6459
_cell_length_c 9.9815
_cell_angle_alpha 90.00
_cell_angle_beta 90.00
_cell_angle_gamma 90.00
loop_
_space_group_symop_operation_xyz
'x,y,z'
'-x,-y,z+1/2'
'-x,y,z'
'x,-y,z+1/2'
'x+1/2,y+1/2,z'
'-x+1/2,-y+1/2,z+1/2'
'-x+1/2,y+1/2,z'
'x+1/2,-y+1/2,z+1/2'
loop_
_atom_site_label
_atom_site_type_symbol
_atom_site_fract_x
_atom_site_fract_y
_atom_site_fract_z
_atom_site_occupancy
Cd1 Cd 0.0000 0.1666 0.0000 1
In1 In 0.0000 0.3322 0.2505 1
Pb1 Pb 0.0000 0.0031 0.7497 1
Pb2 Pb 0.0000 0.1712 0.5015 1
Pb3 Pb 0.0000 0.3294 0.7511 1
Pb4 Pb 0.0000 0.4931 0.5011 1
```

Most intense lines, 2θ = 10–90°, low angle first:
2θ = 31.55°, rel. 100, hkl 1 3 2
2θ = 35.99°, rel. 18, hkl 0 0 4
2θ = 36.82°, rel. 16, hkl 0 6 0
2θ = 36.97°, rel. 17, hkl 2 0 0
2θ = 52.44°, rel. 12, hkl 0 6 4
2θ = 52.55°, rel. 12, hkl 2 0 4
2θ = 61.94°, rel. 15, hkl 1 3 6
2θ = 63.05°, rel. 13, hkl 1 9 2
2θ = 63.25°, rel. 14, hkl 3 3 2
2θ = 65.88°, rel. 12, hkl 2 6 4

=====

Entry 2:
Theoretical powder XRD pattern
Compound: Cd4In7Pb
Radiation: Cu Kα
Structure: a PBE-relaxed structure
Peak positions follow from Bragg's law for the DFT cell and can differ from measured ones.

```
data_Cd4In7Pb
_chemical_formula_sum 'Cd4 In7 Pb1'
_space_group_name_H-M_alt 'P -3 m 1'
_space_group_IT_number 164
_space_group_name_Hall '-P 3 2"'
_cell_length_a 3.3513
_cell_length_b 3.3513
_cell_length_c 32.2045
_cell_angle_alpha 90.00
_cell_angle_beta 90.00
_cell_angle_gamma 120.00
loop_
_atom_site_label
_atom_site_type_symbol
_atom_site_fract_x
_atom_site_fract_y
_atom_site_fract_z
_atom_site_occupancy
Cd1 Cd 0.3333 0.6667 0.1707 1
Cd2 Cd 0.3333 0.6667 0.4188 1
In1 In 0.0000 0.0000 0.2518 1
In2 In 0.0000 0.0000 0.5000 1
In3 In 0.3333 0.6667 0.6634 1
In4 In 0.3333 0.6667 0.9096 1
Pb1 Pb 0.0000 0.0000 0.0000 1
```

Most intense lines, 2θ = 10–90°, low angle first:
2θ = 32.80°, rel. 100, hkl 1 0 4
2θ = 33.39°, rel. 30, hkl 0 0 12
2θ = 38.23°, rel. 64, hkl 0 1 8
2θ = 54.78°, rel. 23, hkl 1 1 0
2θ = 55.56°, rel. 19, hkl 1 0 16
2θ = 65.34°, rel. 13, hkl 0 2 4
2θ = 65.69°, rel. 24, hkl 1 1 12
2θ = 66.39°, rel. 10, hkl 0 1 20
2θ = 68.76°, rel. 11, hkl 2 0 8
2θ = 81.83°, rel. 7, hkl 0 2 16

=====

Entry 3:
Theoretical powder XRD pattern
Compound: CdIn6Pb3
Radiation: Cu Kα
Structure: a PBE-relaxed structure
Peak positions follow from Bragg's law for the DFT cell and can differ from measured ones.

```
data_CdIn6Pb3
_chemical_formula_sum 'Cd1 In6 Pb3'
_space_group_name_H-M_alt 'P -3 1 m'
_space_group_IT_number 162
_space_group_name_Hall '-P 3 2'
_cell_length_a 6.0092
_cell_length_b 6.0092
_cell_length_c 9.5606
_cell_angle_alpha 90.00
_cell_angle_beta 90.00
_cell_angle_gamma 120.00
loop_
_atom_site_label
_atom_site_type_symbol
_atom_site_fract_x
_atom_site_fract_y
_atom_site_fract_z
_atom_site_occupancy
Cd1 Cd 0.0000 0.0000 0.0000 1
In1 In 0.0000 0.3795 0.8022 1
Pb1 Pb 0.0000 0.0000 0.5000 1
Pb2 Pb 0.3333 0.6667 0.5000 1
```

Most intense lines, 2θ = 10–90°, low angle first:
2θ = 28.00°, rel. 33, hkl 0 0 3
2θ = 29.73°, rel. 11, hkl 1 1 0
2θ = 31.20°, rel. 81, hkl 2 -1 1
2θ = 35.28°, rel. 100, hkl 1 1 2
2θ = 48.68°, rel. 26, hkl 2 -1 4
2θ = 52.77°, rel. 23, hkl 3 0 0
2θ = 57.10°, rel. 16, hkl 1 1 5
2θ = 60.79°, rel. 17, hkl 3 0 3
2θ = 65.08°, rel. 13, hkl 4 -2 2
2θ = 88.49°, rel. 12, hkl 4 1 2

=====

Entry 4:
Theoretical powder XRD pattern
Compound: Cd4In3Pb4
Radiation: Cu Kα
Structure: a PBE-relaxed structure
Peak positions follow from Bragg's law for the DFT cell and can differ from measured ones.

```
data_Cd4In3Pb4
_chemical_formula_sum 'Cd4 In3 Pb4'
_space_group_name_H-M_alt 'P -1'
_space_group_IT_number 2
_cell_length_a 3.2480
_cell_length_b 5.4181
_cell_length_c 17.6872
_cell_angle_alpha 97.72
_cell_angle_beta 94.38
_cell_angle_gamma 91.54
loop_
_space_group_symop_operation_xyz
'x,y,z'
'-x,-y,-z'
loop_
_atom_site_label
_atom_site_type_symbol
_atom_site_fract_x
_atom_site_fract_y
_atom_site_fract_z
_atom_site_occupancy
Cd1 Cd 0.0767 0.0466 0.0891 1
Cd2 Cd 0.2207 0.6831 0.3612 1
In1 In 0.0000 0.5000 0.0000 1
In2 In 0.1447 0.1377 0.2695 1
Pb1 Pb 0.2580 0.7743 0.5522 1
Pb2 Pb 0.4093 0.4041 0.8217 1
```

Most intense lines, 2θ = 10–90°, low angle first:
2θ = 32.17°, rel. 29, hkl 1 -1 1
2θ = 32.44°, rel. 65, hkl 0 1 5
2θ = 32.73°, rel. 15, hkl 1 0 3
2θ = 32.92°, rel. 75, hkl 0 1 -6
2θ = 33.08°, rel. 100, hkl 0 2 -1
2θ = 33.40°, rel. 29, hkl 1 -1 2
2θ = 33.97°, rel. 19, hkl 1 1 1
2θ = 36.31°, rel. 14, hkl 1 0 -5
2θ = 58.08°, rel. 15, hkl 0 0 11
2θ = 67.93°, rel. 14, hkl 0 2 10